1.
Starting from a cell relaxed with GGA-PBE, the powder diffractogram of Tb4Zn2Ru2C was calculated for Cu Kα X-rays.
Neutral-atom scattering factors, no anomalous dispersion.

Structural model:
Lattice parameters (Å, degrees): 10.072 7.196 5.063 90.00 90.78 90.00
Space group C2/m (No. 12)
One atom of each set of equivalent atoms:
Tb1 0.125 0.247 0.252 x8
Zn1 0.134 0.000 0.777 x4
Ru1 0.131 0.500 0.772 x4
C1 0.000 0.500 0.500 x2

Peak list (8 most intense, 2θ from 5° to 70°, sorted by position)
- 2θ = 24.76°, I = 13, (2 0 -1)
- 2θ = 35.29°, I = 73, (2 2 -1)
- 2θ = 35.52°, I = 100, (2 2 1)
- 2θ = 35.66°, I = 33, (4 0 0)
- 2θ = 50.77°, I = 25, (0 4 0)
- 2θ = 63.42°, I = 24, (0 4 2)
- 2θ = 63.61°, I = 25, (6 2 -1)
- 2θ = 64.14°, I = 12, (6 2 1)



2.
Starting from a cell relaxed with GGA-PBE, the powder diffractogram of Ba2NaAg10 was calculated for Cu Kα X-rays.
Neutral-atom scattering factors, no anomalous dispersion.

Structural model:
Lattice parameters (Å, degrees): 5.746 20.405 6.339 90.00 90.00 90.00
Space group Pbam (No. 55)
One atom of each set of equivalent atoms:
Ba1 0.175 0.163 0.000 x4
Na1 0.000 0.500 0.500 x2
Ag1 0.037 0.067 0.500 x4
Ag2 0.122 0.666 0.500 x4
Ag3 0.122 0.800 0.500 x4
Ag4 0.183 0.395 0.215 x8

Peak list (8 most intense, 2θ from 5° to 70°, sorted by position)
- 2θ = 13.97°, I = 54, (0 0 1)
- 2θ = 17.38°, I = 100, (0 4 0)
- 2θ = 27.28°, I = 35, (1 4 1)
- 2θ = 33.46°, I = 96, (1 2 2)
- 2θ = 34.55°, I = 87, (2 1 1)
- 2θ = 37.39°, I = 47, (1 7 1)
- 2θ = 38.62°, I = 49, (1 8 0)
- 2θ = 38.84°, I = 34, (0 6 2)



3.
Starting from a cell relaxed with GGA-PBE, the powder diffractogram of LiTe was calculated for Cu Kα X-rays.
Neutral-atom scattering factors, no anomalous dispersion.

Structural model:
Lattice parameters (Å, degrees): 9.205 9.205 5.984 90.00 90.00 90.00
Space group P4/mnc (No. 128)
One atom of each set of equivalent atoms:
Li1 0.102 0.336 0.000 x8
Te1 0.134 0.693 0.500 x8

Peak list (8 most intense, 2θ from 5° to 70°, sorted by position)
- 2θ = 13.60°, I = 20, (1 1 0)
- 2θ = 19.28°, I = 27, (2 0 0)
- 2θ = 21.59°, I = 100, (2 1 0)
- 2θ = 29.86°, I = 26, (0 0 2)
- 2θ = 30.71°, I = 18, (3 1 0)
- 2θ = 34.26°, I = 29, (3 1 1)
- 2θ = 37.15°, I = 49, (2 1 2)
- 2θ = 51.97°, I = 19, (5 0 1)



4.
Starting from a cell relaxed with GGA-PBE, the powder diffractogram of LiLa2Ag2O6 was calculated for Cu Kα X-rays.
Neutral-atom scattering factors, no anomalous dispersion.

Structural model:
Lattice parameters (Å, degrees): 6.0830 6.0830 16.2621 90.00 90.00 120.00
Space group R-3m (No. 166, hexagonal axes)
One atom of each set of equivalent atoms:
Li1 0.0000 0.0000 0.0000 x3
La1 0.0000 0.0000 0.2024 x6
Ag1 0.0000 0.0000 0.4122 x6
O1 0.0524 0.5262 0.7614 x18

Peak list (8 most intense, 2θ from 5° to 70°, sorted by position)
- 2θ = 16.35°, I = 27, (0 0 3)
- 2θ = 29.37°, I = 100, (1 1 0)
- 2θ = 32.35°, I = 70, (0 1 5)
- 2θ = 33.79°, I = 20, (1 1 3)
- 2θ = 44.25°, I = 37, (2 0 5)
- 2θ = 52.08°, I = 19, (3 0 0)
- 2θ = 54.00°, I = 40, (1 2 5)
- 2θ = 60.92°, I = 17, (2 2 0)



5.
Starting from a cell relaxed with GGA-PBE, the powder diffractogram of HoPa2Cu9 was calculated for Cu Kα X-rays.
Neutral-atom scattering factors, no anomalous dispersion.

Structural model:
Lattice parameters (Å, degrees): 5.0658 5.0658 25.3775 90.00 90.00 120.00
Space group R-3m (No. 166, hexagonal axes)
One atom of each set of equivalent atoms:
Ho1 0.0000 0.0000 0.0000 x3
Pa1 0.0000 0.0000 0.1463 x6
Cu1 0.0000 0.0000 0.3327 x6
Cu2 0.0000 0.0000 0.5000 x3
Cu3 0.0009 0.5004 0.0812 x18

Peak list (8 most intense, 2θ from 5° to 70°, sorted by position)
- 2θ = 10.46°, I = 17, (0 0 3)
- 2θ = 32.03°, I = 53, (1 0 7)
- 2θ = 34.90°, I = 24, (0 1 8)
- 2θ = 35.44°, I = 52, (1 1 0)
- 2θ = 41.31°, I = 32, (0 2 1)
- 2θ = 41.56°, I = 100, (1 1 6)
- 2θ = 61.49°, I = 17, (2 1 7)
- 2θ = 67.81°, I = 23, (3 0 6)



6.
Starting from a cell relaxed with GGA-PBE, the powder diffractogram of Tb6NdHo2Th was calculated for Cu Kα X-rays.
Neutral-atom scattering factors, no anomalous dispersion.

Structural model:
Lattice parameters (Å, degrees): 9.319 14.914 9.462 90.00 95.99 90.00
Space group C2/c (No. 15)
One atom of each set of equivalent atoms:
Tb1 0.062 0.175 0.440 x8
Tb2 0.094 0.387 0.614 x8
Tb3 0.205 0.223 0.817 x8
Nd1 0.000 0.407 0.250 x4
Ho1 0.247 0.049 0.053 x8
Th1 0.000 0.034 0.750 x4

Peak list (8 most intense, 2θ from 5° to 70°, sorted by position)
- 2θ = 28.24°, I = 15, (2 2 -2)
- 2θ = 28.52°, I = 40, (1 3 2)
- 2θ = 30.09°, I = 46, (3 1 -1)
- 2θ = 30.90°, I = 100, (2 2 2)
- 2θ = 31.51°, I = 31, (1 5 0)
- 2θ = 31.63°, I = 35, (2 4 -1)
- 2θ = 32.65°, I = 27, (1 5 -1)
- 2θ = 34.33°, I = 23, (1 3 -3)



7.
Starting from a cell relaxed with GGA-PBE, the powder diffractogram of PuIn3Pd12 was calculated for Cu Kα X-rays.
Neutral-atom scattering factors, no anomalous dispersion.

Structural model:
Lattice parameters (Å, degrees): 4.075 4.075 16.189 90.00 90.00 90.00
Space group P4/mmm (No. 123)
One atom of each set of equivalent atoms:
Pu1 0.000 0.000 0.000 x1
In1 0.000 0.000 0.256 x2
In2 0.000 0.000 0.500 x1
Pd1 0.000 0.500 0.128 x4
Pd2 0.000 0.500 0.377 x4
Pd3 0.500 0.500 0.000 x1
Pd4 0.500 0.500 0.252 x2
Pd5 0.500 0.500 0.500 x1

Peak list (8 most intense, 2θ from 5° to 70°, sorted by position)
- 2θ = 5.46°, I = 5, (0 0 1)
- 2θ = 10.93°, I = 2, (0 0 2)
- 2θ = 35.33°, I = 1, (1 1 3)
- 2θ = 38.34°, I = 100, (1 1 4)
- 2θ = 44.46°, I = 33, (2 0 0)
- 2θ = 44.79°, I = 16, (0 0 8)
- 2θ = 64.70°, I = 11, (2 2 0)
- 2θ = 64.95°, I = 21, (2 0 8)



8.
Starting from a cell relaxed with GGA-PBE, the powder diffractogram of Tb12NdDy2 was calculated for Cu Kα X-rays.
Neutral-atom scattering factors, no anomalous dispersion.

Structural model:
Lattice parameters (Å, degrees): 7.133 11.211 24.438 90.00 94.16 90.00
Space group C2/m (No. 12)
One atom of each set of equivalent atoms:
Tb1 0.018 0.250 0.075 x8
Tb2 0.112 0.247 0.445 x8
Tb3 0.140 0.500 0.576 x4
Tb4 0.145 0.000 0.573 x4
Tb5 0.167 0.248 0.670 x8
Tb6 0.200 0.253 0.798 x8
Tb7 0.215 0.000 0.860 x4
Tb8 0.217 0.500 0.863 x4
Nd1 0.250 0.000 0.999 x4
Dy1 0.065 0.500 0.272 x4
Dy2 0.071 0.000 0.273 x4

Peak list (8 most intense, 2θ from 5° to 70°, sorted by position)
- 2θ = 30.21°, I = 100, (0 2 7)
- 2θ = 31.11°, I = 45, (2 2 2)
- 2θ = 31.93°, I = 69, (0 4 0)
- 2θ = 32.41°, I = 69, (2 2 -4)
- 2θ = 33.48°, I = 35, (0 2 8)
- 2θ = 46.00°, I = 28, (2 4 -6)
- 2θ = 60.64°, I = 19, (4 2 6)
- 2θ = 61.65°, I = 21, (4 4 -1)